This entry pairs a crystal structure of Pr5Al2Ru3 with its calculated X-ray diffraction stick pattern. Radiation: copper Kα. Structure: a GGA-PBE-relaxed structure.
Intensities are scaled so that the largest is 100.

Atomic structure:
```
data_Pr5Al2Ru3
_chemical_formula_sum 'Pr20 Al8 Ru12'
_symmetry_space_group_name_H-M 'I 21 3'
_symmetry_Int_Tables_number 199
_symmetry_space_group_name_Hall 'I 2b 2c 3'
_cell_length_a 9.9470
_cell_length_b 9.9470
_cell_length_c 9.9470
_cell_angle_alpha 90.00
_cell_angle_beta 90.00
_cell_angle_gamma 90.00
loop_
_atom_site_label
_atom_site_type_symbol
_atom_site_fract_x
_atom_site_fract_y
_atom_site_fract_z
Pr1 Pr 0.0000 0.2500 0.4347
Pr2 Pr 0.1069 0.1069 0.1069
Al1 Al 0.2045 0.2955 0.7045
Ru1 Ru 0.0000 0.2500 0.8678
```

Top 8 peaks for 2θ = 15–90°, by intensity:
2θ (°)	intensity
33.7	100
28.4	43
50.2	31
40.6	28
31.1	22
57.1	16
46.6	15
25.3	14

***

This entry pairs a crystal structure of PrAl2Si2 with its calculated X-ray diffraction stick pattern. Radiation: copper Kα. Structure: a GGA-PBE-relaxed structure.
Intensities are scaled so that the largest is 100.

Atomic structure:
```
data_PrAl2Si2
_chemical_formula_sum 'Pr1 Al2 Si2'
_symmetry_space_group_name_H-M 'P -3 m 1'
_symmetry_Int_Tables_number 164
_symmetry_space_group_name_Hall '-P 3 2"'
_cell_length_a 4.2521
_cell_length_b 4.2521
_cell_length_c 6.8623
_cell_angle_alpha 90.00
_cell_angle_beta 90.00
_cell_angle_gamma 120.00
loop_
_atom_site_label
_atom_site_type_symbol
_atom_site_fract_x
_atom_site_fract_y
_atom_site_fract_z
Pr1 Pr 0.0000 0.0000 0.0000
Al1 Al 0.3333 0.6667 0.3600
Si1 Si 0.3333 0.6667 0.7291
```

Top 8 peaks for 2θ = 15–90°, by intensity:
2θ (°)	intensity
27.5	100
35.8	59
42.5	36
59.4	27
24.2	18
51.4	18
56.7	15
68.8	15

***

This entry pairs a crystal structure of Pr3Al4Si6 with its calculated X-ray diffraction stick pattern. Radiation: copper Kα. Structure: a GGA-PBE-relaxed structure.
Intensities are scaled so that the largest is 100.

Atomic structure:
```
data_Pr3Al4Si6
_chemical_formula_sum 'Pr3 Al4 Si6'
_symmetry_space_group_name_H-M 'P -3 m 1'
_symmetry_Int_Tables_number 164
_symmetry_space_group_name_Hall '-P 3 2"'
_cell_length_a 4.1981
_cell_length_b 4.1981
_cell_length_c 18.0474
_cell_angle_alpha 90.00
_cell_angle_beta 90.00
_cell_angle_gamma 120.00
loop_
_atom_site_label
_atom_site_type_symbol
_atom_site_fract_x
_atom_site_fract_y
_atom_site_fract_z
Pr1 Pr 0.0000 0.0000 0.0000
Pr2 Pr 0.0000 0.0000 0.3883
Al1 Al 0.3333 0.6667 0.2462
Al2 Al 0.3333 0.6667 0.8591
Si1 Si 0.3333 0.6667 0.1045
Si2 Si 0.3333 0.6667 0.4974
Si3 Si 0.3333 0.6667 0.7186
```

Top 8 peaks for 2θ = 15–90°, by intensity:
2θ (°)	intensity
35.0	100
28.7	79
43.1	58
24.5	40
26.4	39
56.7	25
60.2	24
73.8	23

***

This entry pairs a crystal structure of PrAlSi2 with its calculated X-ray diffraction stick pattern. Radiation: copper Kα. Structure: a GGA-PBE-relaxed structure.
Intensities are scaled so that the largest is 100.

Atomic structure:
```
data_PrAlSi2
_chemical_formula_sum 'Pr2 Al2 Si4'
_symmetry_space_group_name_H-M 'P -3 m 1'
_symmetry_Int_Tables_number 164
_symmetry_space_group_name_Hall '-P 3 2"'
_cell_length_a 4.1912
_cell_length_b 4.1912
_cell_length_c 11.1632
_cell_angle_alpha 90.00
_cell_angle_beta 90.00
_cell_angle_gamma 120.00
loop_
_atom_site_label
_atom_site_type_symbol
_atom_site_fract_x
_atom_site_fract_y
_atom_site_fract_z
Pr1 Pr 0.0000 0.0000 0.1813
Al1 Al 0.3333 0.6667 0.4149
Si1 Si 0.3333 0.6667 0.0056
Si2 Si 0.3333 0.6667 0.6446
```

Top 8 peaks for 2θ = 15–90°, by intensity:
2θ (°)	intensity
34.5	100
29.4	68
43.2	50
24.5	43
25.8	34
56.4	24
73.6	22
60.6	22

***

This entry pairs a crystal structure of PrAlZn with its calculated X-ray diffraction stick pattern. Radiation: copper Kα. Structure: a GGA-PBE-relaxed structure.
Intensities are scaled so that the largest is 100.

Atomic structure:
```
data_PrAlZn
_chemical_formula_sum 'Pr4 Al4 Zn4'
_symmetry_space_group_name_H-M 'C 1 2/m 1'
_symmetry_Int_Tables_number 12
_cell_length_a 10.6923
_cell_length_b 4.6381
_cell_length_c 7.5679
_cell_angle_alpha 90.00
_cell_angle_beta 133.71
_cell_angle_gamma 90.00
loop_
_symmetry_equiv_pos_as_xyz
'x,y,z'
'-x,-y,-z'
'-x,y,-z'
'x,-y,z'
'x+1/2,y+1/2,z'
'-x+1/2,-y+1/2,-z'
'-x+1/2,y+1/2,-z'
'x+1/2,-y+1/2,z'
loop_
_atom_site_label
_atom_site_type_symbol
_atom_site_fract_x
_atom_site_fract_y
_atom_site_fract_z
Pr1 Pr 0.0354 0.0000 0.2887
Al1 Al 0.1627 0.5000 0.1088
Zn1 Zn 0.1639 0.5000 0.7187
```

Top 8 peaks for 2θ = 15–90°, by intensity:
2θ (°)	intensity
32.9	100
40.0	62
32.5	57
22.4	48
38.8	44
32.7	42
32.2	33
51.7	23

***

This entry pairs a crystal structure of Pr2AlZn with its calculated X-ray diffraction stick pattern. Radiation: copper Kα. Structure: a GGA-PBE-relaxed structure.
Intensities are scaled so that the largest is 100.

Atomic structure:
```
data_Pr2AlZn
_chemical_formula_sum 'Pr2 Al1 Zn1'
_symmetry_space_group_name_H-M 'P 4/m m m'
_symmetry_Int_Tables_number 123
_symmetry_space_group_name_Hall '-P 4 2'
_cell_length_a 3.7045
_cell_length_b 3.7045
_cell_length_c 7.6000
_cell_angle_alpha 90.00
_cell_angle_beta 90.00
_cell_angle_gamma 90.00
loop_
_atom_site_label
_atom_site_type_symbol
_atom_site_fract_x
_atom_site_fract_y
_atom_site_fract_z
Pr1 Pr 0.0000 0.0000 0.2459
Al1 Al 0.5000 0.5000 0.5000
Zn1 Zn 0.5000 0.5000 0.0000
```

Top 8 peaks for 2θ = 15–90°, by intensity:
2θ (°)	intensity
33.8	100
34.2	48
61.0	36
24.0	28
60.2	19
49.2	17
23.4	15
41.9	13

***

This entry pairs a crystal structure of Al21Pt8 with its calculated X-ray diffraction stick pattern. Radiation: copper Kα. Structure: a GGA-PBE-relaxed structure.
Intensities are scaled so that the largest is 100.

Atomic structure:
```
data_Al21Pt8
_chemical_formula_sum 'Al84 Pt32'
_symmetry_space_group_name_H-M 'I 41/a'
_symmetry_Int_Tables_number 88
_cell_length_a 13.0482
_cell_length_b 13.0482
_cell_length_c 10.7652
_cell_angle_alpha 90.00
_cell_angle_beta 90.00
_cell_angle_gamma 90.00
loop_
_symmetry_equiv_pos_as_xyz
'x,y,z'
'-x,-y,-z'
'-y+3/4,x+1/4,z+1/4'
'y+3/4,-x+1/4,-z+1/4'
'-x+1/2,-y,z+1/2'
'x+1/2,y,-z+1/2'
'y+3/4,-x+3/4,z+3/4'
'-y+3/4,x+3/4,-z+3/4'
'x+1/2,y+1/2,z+1/2'
'-x+1/2,-y+1/2,-z+1/2'
'-y+1/4,x+3/4,z+3/4'
'y+1/4,-x+3/4,-z+3/4'
'-x,-y+1/2,z'
'x,y+1/2,-z'
'y+1/4,-x+1/4,z+1/4'
'-y+1/4,x+1/4,-z+1/4'
loop_
_atom_site_label
_atom_site_type_symbol
_atom_site_fract_x
_atom_site_fract_y
_atom_site_fract_z
Al1 Al 0.0000 0.2500 0.1250
Al2 Al 0.0097 0.4683 0.1455
Al3 Al 0.0531 0.1603 0.7247
Al4 Al 0.0699 0.1577 0.3524
Al5 Al 0.0886 0.4981 0.4268
Al6 Al 0.2093 0.0313 0.1505
Pt1 Pt 0.0929 0.1195 0.9704
Pt2 Pt 0.0984 0.4648 0.6667
```

Top 8 peaks for 2θ = 15–90°, by intensity:
2θ (°)	intensity
26.0	100
25.4	59
25.7	44
27.2	41
45.3	37
44.9	33
42.8	30
44.7	24

***

Repeat the third record exactly.
This entry pairs a crystal structure of Pr3Al4Si6 with its calculated X-ray diffraction stick pattern. Radiation: copper Kα. Structure: a GGA-PBE-relaxed structure.
Intensities are scaled so that the largest is 100.

Atomic structure:
```
data_Pr3Al4Si6
_chemical_formula_sum 'Pr3 Al4 Si6'
_symmetry_space_group_name_H-M 'P -3 m 1'
_symmetry_Int_Tables_number 164
_symmetry_space_group_name_Hall '-P 3 2"'
_cell_length_a 4.1981
_cell_length_b 4.1981
_cell_length_c 18.0474
_cell_angle_alpha 90.00
_cell_angle_beta 90.00
_cell_angle_gamma 120.00
loop_
_atom_site_label
_atom_site_type_symbol
_atom_site_fract_x
_atom_site_fract_y
_atom_site_fract_z
Pr1 Pr 0.0000 0.0000 0.0000
Pr2 Pr 0.0000 0.0000 0.3883
Al1 Al 0.3333 0.6667 0.2462
Al2 Al 0.3333 0.6667 0.8591
Si1 Si 0.3333 0.6667 0.1045
Si2 Si 0.3333 0.6667 0.4974
Si3 Si 0.3333 0.6667 0.7186
```

Top 8 peaks for 2θ = 15–90°, by intensity:
2θ (°)	intensity
35.0	100
28.7	79
43.1	58
24.5	40
26.4	39
56.7	25
60.2	24
73.8	23

***

Number 3 is which compound?
Pr3Al4Si6